C: computed XRD peak list (Cu Kα), based on a GGA-PBE-relaxed structure.
Lines closer than 0.1° are merged.

Atomic structure:
Lattice parameters (Å, degrees): 4.763 4.763 4.151 96.78 96.78 30.75
Fractional coordinates of all 8 atoms:
C (0.057, 0.057, 0.379)
C (0.214, 0.214, 0.559)
C (0.271, 0.271, 0.914)
C (0.442, 0.442, 0.846)
C (0.558, 0.558, 0.154)
C (0.729, 0.729, 0.086)
C (0.786, 0.786, 0.441)
C (0.943, 0.943, 0.621)

Principal peaks in the range 15 to 90 degrees two-theta, in order of rising 2θ:
two_theta	I/Imax
19.47	15
27.34	31
30.99	32
39.54	33
42.52	100
42.94	22
75.27	23
84.39	21